The following is a computed powder XRD pattern of Er3Ag5. It was derived from a crystal structure in Alexandria, relaxed with PBE, using Cu Ka.
No peak broadening, texture or thermal motion is included.

Peak list (8 most intense, 2θ from 15° to 90°, by intensity)
| Position (°2θ) | d [Å] | intensity |
| --- | --- | --- |
| 33.79 | 2.652 | 100 |
| 36.84 | 2.440 | 43 |
| 36.63 | 2.453 | 32 |
| 41.99 | 2.151 | 22 |
| 62.17 | 1.493 | 18 |
| 48.20 | 1.888 | 14 |
| 56.93 | 1.618 | 14 |
| 71.49 | 1.320 | 13 |

Atomic structure:
```
data_Er3Ag5
_chemical_formula_sum 'Er3 Ag5'
_symmetry_space_group_name_H-M 'P -6 2 m'
_symmetry_Int_Tables_number 189
_symmetry_space_group_name_Hall 'P -6 -2'
_cell_length_a 7.4529
_cell_length_b 7.4529
_cell_length_c 3.7763
_cell_angle_alpha 90.00
_cell_angle_beta 90.00
_cell_angle_gamma 120.00
loop_
_atom_site_label
_atom_site_fract_x
_atom_site_fract_y
_atom_site_fract_z
_atom_site_occupancy
Er1 0.0000 0.3858 0.0000 1
Ag1 0.0000 0.7672 0.5000 1
Ag2 0.3333 0.6667 0.5000 1
```